Record 1
Structure and calculated powder XRD pattern of Li2Fe3NiO8 (a structure optimized by DFT (GGA+U); Cu Kα (weighted mean of Kα1 and Kα2)).
No peak broadening, texture or thermal motion is included.

Structural model:
```
data_Li2Fe3NiO8
_cell_length_a 5.9110
_cell_length_b 5.9235
_cell_length_c 5.9762
_cell_angle_alpha 119.40
_cell_angle_beta 90.11
_cell_angle_gamma 119.58
_space_group_name_H-M_alt 'P -1'
_space_group_IT_number 2
_space_group_name_Hall '-P 1'
loop_
_atom_site_label
_atom_site_fract_x
_atom_site_fract_y
_atom_site_fract_z
Li1 0.0000 0.0000 0.0000
Li2 0.0000 0.5000 0.0000
Fe1 0.0000 0.0000 0.5000
Fe2 0.0000 0.5000 0.5000
Fe3 0.5000 0.0000 0.5000
Ni1 0.5000 0.5000 0.5000
O1 0.2106 0.0410 0.7046
O2 0.2274 0.5580 0.7158
O3 0.2357 0.4377 0.2847
O4 0.2362 0.9404 0.2894
```

Most intense lines, 2θ from 10° to 90°, by angle:
| d [Å] | I_rel | h k l |
| --- | --- | --- |
| 4.929 | 100.0 | 0 0 1 |
| 2.542 | 28.8 | 0 2 -1 |
| 2.529 | 11.4 | 2 0 -1 |
| 2.422 | 14.7 | 0 2 -2 |
| 2.124 | 17.6 | 0 2 0 |
| 2.102 | 30.2 | 2 0 -2 |
| 1.938 | 9.4 | -2 2 1 |
| 1.626 | 11.9 | 2 -2 3 |
| 1.506 | 5.1 | 2 0 2 |
| 1.501 | 5.5 | -2 2 2 |

=====

Record 2
Structure and calculated powder XRD pattern of Li3Fe4NiO8 (a structure optimized by DFT (GGA+U); Cu Kα (weighted mean of Kα1 and Kα2)).
No peak broadening, texture or thermal motion is included.

Structural model:
```
data_Li3Fe4NiO8
_cell_length_a 10.4197
_cell_length_b 5.9475
_cell_length_c 5.9875
_cell_angle_alpha 90.00
_cell_angle_beta 124.82
_cell_angle_gamma 90.00
_space_group_name_H-M_alt 'C 1 2/m 1'
_space_group_IT_number 12
_space_group_name_Hall '-C 2y'
loop_
_atom_site_label
_atom_site_fract_x
_atom_site_fract_y
_atom_site_fract_z
Li1 0.0000 0.0000 0.0000
Li2 0.2500 0.2500 0.5000
Fe1 0.0000 0.0000 0.5000
Fe2 0.0000 0.5000 0.0000
Fe3 0.2500 0.2500 0.0000
Ni1 0.0000 0.5000 0.5000
O1 0.0072 0.2564 0.7627
O2 0.2422 0.5000 0.2338
O3 0.2463 0.5000 0.7656
```

Most intense lines, 2θ from 10° to 90°, by angle:
| d [Å] | I_rel | h k l |
| --- | --- | --- |
| 4.897 | 84.8 | 2 0 -1 |
| 4.883 | 20.9 | 1 1 0 |
| 2.544 | 27.0 | 0 2 1 |
| 2.458 | 14.4 | 0 0 2 |
| 2.444 | 41.9 | 4 0 -2 |
| 2.138 | 52.3 | 4 0 0 |
| 2.110 | 100.0 | 2 2 -2 |
| 1.945 | 16.2 | 2 0 -3 |
| 1.504 | 28.6 | 2 2 2 |
| 1.500 | 28.5 | 6 2 -2 |

=====

Record 3
Structure and calculated powder XRD pattern of Li4Fe3NiO8 (a structure optimized by DFT (GGA+U); Cu Kα (weighted mean of Kα1 and Kα2)).
No peak broadening, texture or thermal motion is included.

Structural model:
```
data_Li4Fe3NiO8
_cell_length_a 5.1111
_cell_length_b 5.5452
_cell_length_c 6.4933
_cell_angle_alpha 89.92
_cell_angle_beta 89.95
_cell_angle_gamma 89.87
_space_group_name_H-M_alt 'P 1'
_space_group_IT_number 1
_space_group_name_Hall 'P 1'
loop_
_atom_site_label
_atom_site_fract_x
_atom_site_fract_y
_atom_site_fract_z
Li1 0.0000 0.0000 0.0000
Li2 0.0004 0.4974 0.2506
Li3 0.4954 0.8343 0.7529
Li4 0.4957 0.3315 0.5004
Fe1 0.4956 0.8314 0.2462
Fe2 0.9926 0.4978 0.7531
Fe3 0.9953 0.9983 0.5017
Ni1 0.4936 0.3315 0.0035
O1 0.1019 0.3277 0.5108
O2 0.1025 0.8270 0.7430
O3 0.1196 0.8418 0.2589
O4 0.1298 0.3442 0.9893
O5 0.6013 0.0116 0.0127
O6 0.6014 0.5054 0.2343
O7 0.6197 0.9849 0.4905
O8 0.6232 0.4842 0.7671
```

Most intense lines, 2θ from 10° to 90°, by angle:
| d [Å] | I_rel | h k l |
| --- | --- | --- |
| 4.217 | 82.2 | 0 1 1 |
| 4.016 | 100.0 | 1 0 1 |
| 3.252 | 27.2 | 1 -1 1 |
| 2.802 | 52.8 | 0 1 2 |
| 2.773 | 27.3 | 0 2 0 |
| 2.554 | 65.1 | 2 0 0 |
| 2.457 | 49.8 | 1 1 -2 |
| 2.437 | 24.3 | 1 2 0 |
| 1.606 | 32.1 | 0 3 2 |
| 1.455 | 20.7 | 3 1 -2 |

=====

Record 4
Structure and calculated powder XRD pattern of Li2Fe3NiO8 (a structure optimized by DFT (GGA+U); Cu Kα (weighted mean of Kα1 and Kα2)).
No peak broadening, texture or thermal motion is included.

Structural model:
```
data_Li2Fe3NiO8
_cell_length_a 8.3604
_cell_length_b 8.3604
_cell_length_c 8.3604
_cell_angle_alpha 90.00
_cell_angle_beta 90.00
_cell_angle_gamma 90.00
_space_group_name_H-M_alt 'P 43 3 2'
_space_group_IT_number 212
_space_group_name_Hall 'P 4acd 2ab 3'
loop_
_atom_site_label
_atom_site_fract_x
_atom_site_fract_y
_atom_site_fract_z
Li1 0.0014 0.0014 0.0014
Fe1 0.1221 0.6250 0.1279
Ni1 0.1250 0.8750 0.3750
O1 0.1017 0.3836 0.1189
O2 0.1131 0.6131 0.8869
```

Most intense lines, 2θ from 10° to 90°, by angle:
| d [Å] | I_rel | h k l |
| --- | --- | --- |
| 4.827 | 100.0 | 1 1 1 |
| 2.521 | 48.7 | 3 1 1 |
| 2.413 | 12.9 | 2 2 2 |
| 2.090 | 55.2 | 4 0 0 |
| 1.918 | 11.2 | 3 3 1 |
| 1.609 | 20.4 | 5 1 1 |
| 1.478 | 32.9 | 4 4 0 |
| 1.413 | 14.2 | 5 3 1 |
| 1.207 | 8.5 | 4 4 4 |
| 1.171 | 7.5 | 5 5 1 |

=====

Record 5
Structure and calculated powder XRD pattern of Li4Fe3NiO8 (a structure optimized by DFT (GGA+U); Cu Kα (weighted mean of Kα1 and Kα2)).
No peak broadening, texture or thermal motion is included.

Structural model:
```
data_Li4Fe3NiO8
_cell_length_a 5.9144
_cell_length_b 5.9144
_cell_length_c 14.7010
_cell_angle_alpha 90.00
_cell_angle_beta 90.00
_cell_angle_gamma 120.00
_space_group_name_H-M_alt 'R -3 m'
_space_group_IT_number 166
_space_group_name_Hall '-R 3 2"'
loop_
_atom_site_label
_atom_site_fract_x
_atom_site_fract_y
_atom_site_fract_z
Li1 0.0000 0.0000 0.0000
Li2 0.0000 0.5000 0.0000
Fe1 0.0000 0.5000 0.5000
Ni1 0.0000 0.0000 0.5000
O1 0.0000 0.0000 0.2441
O2 0.0006 0.5003 0.2419
```

Most intense lines, 2θ from 10° to 90°, by angle:
| d [Å] | I_rel | h k l |
| --- | --- | --- |
| 4.900 | 100.0 | 0 0 3 |
| 2.523 | 42.3 | 0 2 1 |
| 2.418 | 14.0 | 2 0 2 |
| 2.101 | 77.5 | 0 2 4 |
| 1.931 | 14.6 | 2 0 5 |
| 1.624 | 14.3 | 0 2 7 |
| 1.493 | 21.2 | 2 0 8 |
| 1.479 | 21.3 | 2 2 0 |
| 1.416 | 14.5 | 2 2 3 |
| 1.209 | 9.7 | 4 0 4 |

=====

Record 6
Structure and calculated powder XRD pattern of Li3Fe3NiO8 (a structure optimized by DFT (GGA+U); Cu Kα (weighted mean of Kα1 and Kα2)).
No peak broadening, texture or thermal motion is included.

Structural model:
```
data_Li3Fe3NiO8
_cell_length_a 10.2281
_cell_length_b 5.9454
_cell_length_c 5.9745
_cell_angle_alpha 90.00
_cell_angle_beta 125.20
_cell_angle_gamma 90.00
_space_group_name_H-M_alt 'C 1 2/m 1'
_space_group_IT_number 12
_space_group_name_Hall '-C 2y'
loop_
_atom_site_label
_atom_site_fract_x
_atom_site_fract_y
_atom_site_fract_z
Li1 0.0000 0.0000 0.0000
Li2 0.2500 0.2500 0.0000
Fe1 0.0000 0.0000 0.5000
Fe2 0.2500 0.2500 0.5000
Ni1 0.0000 0.5000 0.5000
O1 0.0064 0.2286 0.2821
O2 0.2332 0.0000 0.7234
O3 0.2443 0.5000 0.7236
```

Most intense lines, 2θ from 10° to 90°, by angle:
| d [Å] | I_rel | h k l |
| --- | --- | --- |
| 4.882 | 100.0 | 0 0 1 |
| 2.533 | 26.8 | 2 2 -1 |
| 2.516 | 13.6 | 4 0 -1 |
| 2.421 | 12.4 | 2 2 0 |
| 2.107 | 45.6 | 2 2 -2 |
| 2.089 | 22.5 | 4 0 0 |
| 1.928 | 8.9 | 2 2 1 |
| 1.626 | 11.7 | 2 2 -3 |
| 1.489 | 12.0 | 2 2 2 |
| 1.479 | 12.4 | 6 2 -2 |

=====

Record 7
Structure and calculated powder XRD pattern of Li7Fe4NiO12 (a structure optimized by DFT (GGA+U); Cu Kα (weighted mean of Kα1 and Kα2)).
No peak broadening, texture or thermal motion is included.

Structural model:
```
data_Li7Fe4NiO12
_cell_length_a 4.9803
_cell_length_b 5.6474
_cell_length_c 7.5595
_cell_angle_alpha 79.74
_cell_angle_beta 89.87
_cell_angle_gamma 89.80
_space_group_name_H-M_alt 'P 1'
_space_group_IT_number 1
_space_group_name_Hall 'P 1'
loop_
_atom_site_label
_atom_site_fract_x
_atom_site_fract_y
_atom_site_fract_z
Li1 0.0000 0.0000 0.0000
Li2 0.0006 0.9958 0.5051
Li3 0.0060 0.3028 0.1545
Li4 0.4958 0.8138 0.6628
Li5 0.4996 0.4974 0.9996
Li6 0.5030 0.8012 0.1493
Li7 0.9978 0.2998 0.6617
Fe1 0.0012 0.6539 0.3226
Fe2 0.4995 0.1464 0.8357
Fe3 0.5053 0.1402 0.3229
Fe4 0.9958 0.6513 0.8308
Ni1 0.5013 0.4941 0.5020
O1 0.1400 0.6491 0.0771
O2 0.1727 0.9638 0.7578
O3 0.1855 0.3272 0.4037
O4 0.3233 0.4699 0.7492
O5 0.3328 0.8152 0.4034
O6 0.3605 0.1485 0.0785
O7 0.6426 0.1596 0.5818
O8 0.6762 0.4719 0.2613
O9 0.6767 0.8326 0.9004
O10 0.8257 0.3375 0.9030
O11 0.8279 0.9724 0.2586
O12 0.8459 0.6467 0.5780
```

Most intense lines, 2θ from 10° to 90°, by angle:
| d [Å] | I_rel | h k l |
| --- | --- | --- |
| 3.717 | 100.0 | 1 1 0 |
| 3.703 | 50.2 | 1 -1 0 |
| 2.490 | 24.6 | 2 0 0 |
| 2.483 | 48.0 | 1 -1 2 |
| 2.220 | 32.2 | 2 1 1 |
| 1.749 | 47.5 | 2 2 2 |
| 1.746 | 24.2 | -1 1 4 |
| 1.741 | 23.4 | -2 2 2 |
| 1.738 | 23.5 | 1 3 0 |
| 1.436 | 31.4 | 3 -1 2 |

=====

Record 8
Structure and calculated powder XRD pattern of Li2Fe3NiO8 (a structure optimized by DFT (GGA+U); Cu Kα (weighted mean of Kα1 and Kα2)).
No peak broadening, texture or thermal motion is included.

Structural model:
```
data_Li2Fe3NiO8
_cell_length_a 9.7485
_cell_length_b 5.6840
_cell_length_c 5.8296
_cell_angle_alpha 90.00
_cell_angle_beta 123.33
_cell_angle_gamma 90.00
_space_group_name_H-M_alt 'C 1 2/m 1'
_space_group_IT_number 12
_space_group_name_Hall '-C 2y'
loop_
_atom_site_label
_atom_site_fract_x
_atom_site_fract_y
_atom_site_fract_z
Li1 0.0000 0.0000 0.0000
Li2 0.0000 0.5000 0.0000
Fe1 0.0000 0.0000 0.5000
Fe2 0.2500 0.2500 0.5000
Ni1 0.0000 0.5000 0.5000
O1 0.0178 0.2444 0.2903
O2 0.2362 0.0000 0.7056
O3 0.2376 0.5000 0.7014
```

Most intense lines, 2θ from 10° to 90°, by angle:
| d [Å] | I_rel | h k l |
| --- | --- | --- |
| 4.871 | 100.0 | 0 0 1 |
| 2.419 | 21.2 | 2 2 -1 |
| 2.408 | 10.0 | 4 0 -1 |
| 2.331 | 6.0 | 2 2 0 |
| 2.034 | 51.1 | 2 2 -2 |
| 1.884 | 6.1 | 2 2 1 |
| 1.593 | 4.9 | 4 0 1 |
| 1.587 | 9.4 | 2 2 -3 |
| 1.469 | 8.9 | 2 2 2 |
| 1.410 | 8.9 | 6 2 -2 |

=====

Number 6 is which compound? Li3Fe3NiO8